(1)
Computed powder diffraction line list
Compound: K3Er3CrTe8
Radiation: CuKα
Structure: a structure optimized by DFT (PBE)
Intensities are scaled so that the largest is 100.

Most intense lines, 2θ = 10–80°, sorted by position:
2θ/deg	I/Imax
10.3	73
27.8	100
34.3	28
37.0	34
42.2	34
43.6	13
45.9	19
51.3	17
68.6	13
70.3	11

Atomic structure:
```
K3Er3CrTe8
1.0
4.2792 2.4706 8.5832
-4.2792 2.4706 8.5832
0.0000 -4.9412 8.5832
K Er Cr Te
3 3 1 8
Direct
0.0000 0.5000 0.5000 K
0.5000 0.0000 0.5000 K
0.5000 0.5000 0.0000 K
0.0000 0.0000 0.5000 Er
0.0000 0.5000 0.0000 Er
0.5000 0.0000 0.0000 Er
0.5000 0.5000 0.5000 Cr
0.2364 0.2364 0.2364 Te
0.2556 0.7192 0.7192 Te
0.2808 0.2808 0.7444 Te
0.2808 0.7444 0.2808 Te
0.7192 0.2556 0.7192 Te
0.7192 0.7192 0.2556 Te
0.7444 0.2808 0.2808 Te
0.7636 0.7636 0.7636 Te
```



(2)
Computed powder diffraction line list
Compound: SrThReN4
Radiation: CuKα
Structure: a structure optimized by DFT (PBE)
Intensities are scaled so that the largest is 100.

Most intense lines, 2θ = 10–80°, sorted by position:
2θ/deg	I/Imax
13.5	11
21.1	16
30.8	100
32.4	28
32.7	27
41.4	11
46.6	24
56.7	19
57.1	18
64.1	15

Atomic structure:
```
SrThReN4
1.0
2.7663 -6.5385 0.0000
2.7663 6.5385 0.0000
0.0000 0.0000 5.4834
Sr Th Re N
2 2 2 8
Direct
0.1023 0.8977 0.7500 Sr
0.8977 0.1023 0.2500 Sr
0.3977 0.6023 0.7500 Th
0.6023 0.3977 0.2500 Th
0.2371 0.7629 0.2500 Re
0.7629 0.2371 0.7500 Re
0.0000 0.5000 0.0000 N
0.0000 0.5000 0.5000 N
0.0899 0.9101 0.2500 N
0.4297 0.5703 0.2500 N
0.5000 0.0000 0.0000 N
0.5000 0.0000 0.5000 N
0.5703 0.4297 0.7500 N
0.9101 0.0899 0.7500 N
```



(3)
Computed powder diffraction line list
Compound: LaYEr5Tm2
Radiation: CuKα
Structure: a structure optimized by DFT (PBE)
Intensities are scaled so that the largest is 100.

Most intense lines, 2θ = 10–80°, sorted by position:
2θ/deg	I/Imax
27.0	12
28.5	18
30.4	39
32.1	44
32.7	100
43.5	12
51.6	12
57.6	21
60.5	15
62.1	14

Atomic structure:
```
LaYEr5Tm2
1.0
2.7870 -9.8228 0.0000
2.7870 9.8228 0.0000
0.0000 0.0000 10.5290
La Y Er Tm
2 2 10 4
Direct
0.0816 0.9184 0.5000 La
0.9184 0.0816 0.0000 La
0.2998 0.7002 0.0640 Y
0.7002 0.2998 0.5640 Y
0.0215 0.9785 0.7862 Er
0.1125 0.8875 0.0741 Er
0.2022 0.7978 0.7627 Er
0.2187 0.7813 0.3632 Er
0.4828 0.5172 0.0771 Er
0.5172 0.4828 0.5771 Er
0.7813 0.2187 0.8632 Er
0.7978 0.2022 0.2626 Er
0.8875 0.1125 0.5741 Er
0.9785 0.0215 0.2862 Er
0.3870 0.6130 0.3697 Tm
0.3890 0.6110 0.7847 Tm
0.6110 0.3890 0.2847 Tm
0.6130 0.3870 0.8697 Tm
```



(4)
Computed powder diffraction line list
Compound: Sm2Ho2Er7
Radiation: CuKα
Structure: a structure optimized by DFT (PBE)
Intensities are scaled so that the largest is 100.

Most intense lines, 2θ = 10–80°, sorted by position:
2θ/deg	I/Imax
25.9	23
31.0	28
31.2	49
32.3	27
32.4	100
33.9	39
34.2	30
45.5	16
50.2	13
56.3	14

Atomic structure:
```
Sm2Ho2Er7
1.0
5.5612 -5.7248 0.0000
5.5612 5.7248 0.0000
-2.4344 0.0000 5.5196
Sm Ho Er
2 2 7
Direct
0.0914 0.0914 0.3051 Sm
0.9086 0.9086 0.6949 Sm
0.2864 0.7136 0.0000 Ho
0.7136 0.2864 0.0000 Ho
0.0884 0.5633 0.3211 Er
0.2709 0.2709 0.9202 Er
0.4367 0.9116 0.6789 Er
0.5000 0.5000 0.5000 Er
0.5633 0.0884 0.3211 Er
0.7291 0.7291 0.0798 Er
0.9116 0.4367 0.6789 Er
```